# Nb3Si
Simulated powder XRD pattern, copper Kα. Input: DFT lattice parameters and positions (GGA-PBE).

Principal peaks in the range 10 to 90 degrees two-theta, sorted by position:
2θ/deg  d (Å)  I_rel  hkl
32.48  2.757  38  3 1 1
35.92  2.500  100  2 3 1
36.61  2.455  59  1 1 2
37.14  2.420  40  3 3 0
39.23  2.296  37  2 4 0
40.12  2.248  76  4 1 1
42.68  2.118  31  2 2 2
45.01  2.014  19  5 1 0
64.12  1.452  19  5 5 0
65.48  1.425  18  4 1 3

Structural model:
Cell: 10.269 10.269 5.217 Å, 90.00 90.00 90.00°
Space group P4_2/n (No. 86, origin choice 2)
Unique sites:
Nb 0.036 0.560 0.236 x8
Nb 0.104 0.234 0.023 x8
Nb 0.153 0.665 0.717 x8
Si 0.044 0.222 0.530 x8